(1)
Simulated powder XRD pattern of CuBi3PbS6 for Cu Kα, 1.54184 Å, from a cell relaxed with PBE.
Neutral-atom scattering factors, no anomalous dispersion.

Peak list (10 most intense, 10 to 80 degrees two-theta, low angle first)
| 2θ (°) | I_rel | (hkl) |
| --- | --- | --- |
| 22.0 | 51.1 | 0 2 2 |
| 24.1 | 100.0 | 0 1 3 |
| 24.7 | 50.5 | 1 1 1 |
| 25.1 | 80.1 | 0 3 1 |
| 28.0 | 63.0 | 1 1 2 |
| 28.3 | 94.2 | 1 2 1 |
| 31.3 | 90.7 | 1 2 2 |
| 33.7 | 43.2 | 1 3 1 |
| 34.5 | 51.6 | 0 2 4 |
| 44.9 | 47.0 | 2 0 0 |

```
data_CuBi3PbS6
_cell_length_a 4.035
_cell_length_b 11.157
_cell_length_c 11.738
_cell_angle_alpha 90.00
_cell_angle_beta 90.00
_cell_angle_gamma 90.00
_space_group_name_H-M_alt 'P 1'
_space_group_IT_number 1
loop_
_space_group_symop_operation_xyz
'x,y,z'
loop_
_atom_site_label
_atom_site_type_symbol
_atom_site_fract_x
_atom_site_fract_y
_atom_site_fract_z
Cu1 Cu 0.000 0.039 0.000
Cu2 Cu 0.000 0.961 0.500
Bi1 Bi 0.000 0.422 0.287
Bi2 Bi 0.000 0.578 0.787
Bi3 Bi 0.500 0.065 0.255
Bi4 Bi 0.500 0.287 0.924
Bi5 Bi 0.500 0.713 0.424
Bi6 Bi 0.500 0.935 0.755
Pb1 Pb 0.000 0.247 0.594
Pb2 Pb 0.000 0.753 0.094
S1 S 0.000 0.122 0.819
S2 S 0.000 0.189 0.149
S3 S 0.000 0.445 0.983
S4 S 0.000 0.555 0.483
S5 S 0.000 0.811 0.649
S6 S 0.000 0.878 0.319
S7 S 0.500 0.052 0.554
S8 S 0.500 0.299 0.390
S9 S 0.500 0.392 0.724
S10 S 0.500 0.608 0.224
S11 S 0.500 0.701 0.890
S12 S 0.500 0.948 0.054
```

---

(2)
Simulated powder XRD pattern of CuRe3Bi5 for Cu Kα, 1.54184 Å, from a cell relaxed with PBE.
Neutral-atom scattering factors, no anomalous dispersion.

Peak list (10 most intense, 10 to 80 degrees two-theta, low angle first)
| 2θ (°) | I_rel | (hkl) |
| --- | --- | --- |
| 10.4 | 80.7 | 0 0 1 |
| 18.2 | 30.7 | 1 0 0 |
| 27.9 | 45.6 | 1 0 2 |
| 31.5 | 42.1 | 0 0 3 |
| 31.9 | 66.2 | 1 1 0 |
| 38.4 | 38.4 | 1 1 2 |
| 38.5 | 59.3 | 2 0 1 |
| 42.8 | 100.0 | 2 0 2 |
| 66.6 | 26.7 | 2 2 0 |
| 67.1 | 22.6 | 2 0 5 |

```
data_CuRe3Bi5
_cell_length_a 5.614
_cell_length_b 5.614
_cell_length_c 8.516
_cell_angle_alpha 90.00
_cell_angle_beta 90.00
_cell_angle_gamma 120.00
_space_group_name_H-M_alt 'P 1'
_space_group_IT_number 1
loop_
_space_group_symop_operation_xyz
'x,y,z'
loop_
_atom_site_label
_atom_site_type_symbol
_atom_site_fract_x
_atom_site_fract_y
_atom_site_fract_z
Cu1 Cu 0.000 0.000 0.000
Re1 Re 0.000 0.500 0.500
Re2 Re 0.500 0.000 0.500
Re3 Re 0.500 0.500 0.500
Bi1 Bi 0.000 0.000 0.500
Bi2 Bi 0.333 0.667 0.210
Bi3 Bi 0.333 0.667 0.790
Bi4 Bi 0.667 0.333 0.210
Bi5 Bi 0.667 0.333 0.790
```

---

(3)
Simulated powder XRD pattern of Cu3BiS3 for Cu Kα, 1.54184 Å, from a cell relaxed with PBE.
Neutral-atom scattering factors, no anomalous dispersion.

Peak list (10 most intense, 10 to 80 degrees two-theta, low angle first)
| 2θ (°) | I_rel | (hkl) |
| --- | --- | --- |
| 19.5 | 42.9 | 1 1 1 |
| 23.1 | 29.1 | 0 2 0 |
| 28.0 | 38.2 | 1 2 1 |
| 28.9 | 99.4 | 2 1 0 |
| 30.1 | 28.6 | 2 1 1 |
| 31.2 | 100.0 | 1 1 3 |
| 33.7 | 45.7 | 2 1 2 |
| 45.2 | 23.1 | 2 3 1 |
| 49.7 | 28.8 | 3 1 3 |
| 51.8 | 26.9 | 1 2 5 |

```
data_Cu3BiS3
_cell_length_a 6.755
_cell_length_b 7.700
_cell_length_c 10.401
_cell_angle_alpha 90.00
_cell_angle_beta 90.00
_cell_angle_gamma 90.00
_space_group_name_H-M_alt 'P 1'
_space_group_IT_number 1
loop_
_space_group_symop_operation_xyz
'x,y,z'
loop_
_atom_site_label
_atom_site_type_symbol
_atom_site_fract_x
_atom_site_fract_y
_atom_site_fract_z
Cu1 Cu 0.027 0.056 0.036
Cu2 Cu 0.076 0.690 0.103
Cu3 Cu 0.138 0.852 0.404
Cu4 Cu 0.362 0.148 0.904
Cu5 Cu 0.424 0.310 0.603
Cu6 Cu 0.473 0.944 0.536
Cu7 Cu 0.527 0.444 0.964
Cu8 Cu 0.576 0.810 0.897
Cu9 Cu 0.638 0.648 0.596
Cu10 Cu 0.862 0.352 0.096
Cu11 Cu 0.924 0.190 0.397
Cu12 Cu 0.973 0.556 0.464
Bi1 Bi 0.131 0.692 0.756
Bi2 Bi 0.369 0.308 0.256
Bi3 Bi 0.631 0.808 0.244
Bi4 Bi 0.869 0.192 0.744
S1 S 0.087 0.318 0.930
S2 S 0.095 0.320 0.563
S3 S 0.108 0.054 0.248
S4 S 0.392 0.946 0.748
S5 S 0.405 0.680 0.063
S6 S 0.413 0.682 0.430
S7 S 0.587 0.182 0.070
S8 S 0.595 0.180 0.437
S9 S 0.608 0.446 0.752
S10 S 0.892 0.554 0.252
S11 S 0.905 0.820 0.937
S12 S 0.913 0.818 0.570
```